Diffraction record for LiBi2P3O12. The powder diffractogram is theoretical, not measured: it uses DFT lattice parameters and positions (PBE) and Cu Kα, 1.54184 Å.
Neutral-atom scattering factors, no anomalous dispersion.

Top 8 peaks for 2θ = 5–70°, in order of rising 2θ:
h k l, 2θ (°), d/Å, intensity
0 1 1, 13.61, 6.505, 31
0 1 -1, 18.43, 4.815, 100
1 2 1, 20.17, 4.403, 57
2 1 1, 20.29, 4.377, 29
2 0 2, 27.55, 3.238, 33
1 2 3, 29.63, 3.015, 58
2 3 3, 34.34, 2.611, 27
3 0 1, 35.45, 2.532, 23

a = 8.7547 Å, b = 8.7952 Å, c = 9.7046 Å
α = 63.09°, β = 63.49°, γ = 60.33°
Space group P-1 (No. 2)
Inequivalent atoms, fractional coordinates:
Li 0.2491 0.3123 0.3806 (multiplicity 2)
Bi 0.1603 0.6625 0.5330 (multiplicity 2)
Bi 0.3532 0.8651 0.9361 (multiplicity 2)
P 0.0457 0.2680 0.7362 (multiplicity 2)
P 0.2370 0.0544 0.2579 (multiplicity 2)
P 0.4549 0.5421 0.7461 (multiplicity 2)
O 0.0022 0.5188 0.3112 (multiplicity 2)
O 0.0247 0.1622 0.3122 (multiplicity 2)
O 0.0563 0.2293 0.5856 (multiplicity 2)
O 0.1087 0.7750 0.1168 (multiplicity 2)
O 0.2384 0.1558 0.7549 (multiplicity 2)
O 0.2827 0.0387 0.0932 (multiplicity 2)
O 0.2922 0.8597 0.3860 (multiplicity 2)
O 0.3405 0.5076 0.6837 (multiplicity 2)
O 0.3468 0.1501 0.2543 (multiplicity 2)
O 0.3480 0.4718 0.3840 (multiplicity 2)
O 0.3759 0.7355 0.7578 (multiplicity 2)
O 0.4723 0.3908 0.9045 (multiplicity 2)